Sb6C7: simulated X-ray diffraction stick pattern (Cu Ka), based on a cell relaxed with PBE.

Structural model:
```
data_Sb6C7
_symmetry_space_group_name_H-M 'P 1'
_symmetry_Int_Tables_number 1
_cell_length_a 16.6660
_cell_length_b 16.6660
_cell_length_c 16.6660
_cell_angle_alpha 15.89
_cell_angle_beta 15.89
_cell_angle_gamma 15.89
loop_
_symmetry_equiv_pos_as_xyz
'x,y,z'
loop_
_atom_site_label
_atom_site_type_symbol
_atom_site_fract_x
_atom_site_fract_y
_atom_site_fract_z
Sb1 Sb 0.0505 0.0505 0.0505
Sb2 Sb 0.1903 0.1903 0.1903
Sb3 Sb 0.3112 0.3112 0.3112
Sb4 Sb 0.6888 0.6888 0.6888
Sb5 Sb 0.8097 0.8097 0.8097
Sb6 Sb 0.9495 0.9495 0.9495
C1 C 0.2492 0.5558 0.5558
C2 C 0.4442 0.4442 0.7508
C3 C 0.4442 0.7508 0.4442
C4 C 0.5000 0.5000 0.5000
C5 C 0.5558 0.2492 0.5558
C6 C 0.5558 0.5558 0.2492
C7 C 0.7508 0.4442 0.4442
```

Peak list (10 most intense, 2θ from 5° to 70°, in order of rising 2θ)
2θ 5.37, d 16.452, rel. 13
2θ 10.75, d 8.226, rel. 30
2θ 21.61, d 4.113, rel. 12
2θ 26.60, d 3.351, rel. 100
2θ 33.93, d 2.642, rel. 13
2θ 36.83, d 2.441, rel. 27
2θ 39.10, d 2.304, rel. 40
2θ 46.43, d 1.956, rel. 9
2θ 47.92, d 1.898, rel. 17
2θ 63.50, d 1.465, rel. 15